# CaVAsO6
Theoretical powder diffractogram, a wavelength of 1.5418 Å. Input: a crystal structure in Alexandria, relaxed with PBE+U.
Intensities are scaled so that the largest is 100.

Cell and atoms:
Lattice parameters (Å, degrees): 4.993 4.993 10.169 90.00 90.00 120.00
Sites, in units of the cell vectors:
1 Ca 0.000 0.000 0.000
2 Ca 0.000 0.000 0.500
3 V 0.333 0.667 0.250
4 V 0.667 0.333 0.750
5 As 0.333 0.667 0.750
6 As 0.667 0.333 0.250
7 O 0.006 0.382 0.647
8 O 0.006 0.624 0.853
9 O 0.376 0.382 0.853
10 O 0.376 0.994 0.647
11 O 0.382 0.006 0.147
12 O 0.382 0.376 0.353
13 O 0.618 0.624 0.647
14 O 0.618 0.994 0.853
15 O 0.624 0.006 0.353
16 O 0.624 0.618 0.147
17 O 0.994 0.376 0.147
18 O 0.994 0.618 0.353

The 6 most intense peaks (2θ = 10–90°), most intense first:
(1 0 2), 2θ 27.07, d = 3.294 Å, rel. 100
(1 1 4), 2θ 51.29, d = 1.781 Å, rel. 56
(0 0 2), 2θ 17.44, d = 5.085 Å, rel. 52
(1 1 2), 2θ 40.24, d = 2.241 Å, rel. 29
(1 1 0), 2θ 35.97, d = 2.497 Å, rel. 29
(2 1 2), 2θ 59.40, d = 1.556 Å, rel. 19